(1)
For Nd3YTl2, a cell relaxed with GGA-PBE gives the computed powder X-ray diffraction pattern in this record (Cu Kα, 1.54184 Å).
Kinematic intensities with the Lorentz-polarization factor, no thermal factor.

Principal peaks in the range 10° ≤ 2θ ≤ 90°, by angle:
- 31.10 deg, I = 100.0
- 31.22 deg, I = 13.0
- 32.27 deg, I = 46.6
- 33.80 deg, I = 20.8
- 34.19 deg, I = 36.0
- 36.95 deg, I = 15.8
- 40.89 deg, I = 11.1
- 51.22 deg, I = 12.5
- 59.23 deg, I = 12.1
- 59.31 deg, I = 10.5

Structure:
a b c (Å): 5.2451 10.3032 6.8945
angles (deg): 90.00 90.00 90.00
Space group Pmc2_1 (No. 26)
Asymmetric unit:
Nd  0.0000  0.0405  0.0000
Nd  0.0000  0.3198  0.3690
Nd  0.5000  0.1884  0.7338
Y  0.5000  0.4586  0.0954
Tl  0.0000  0.3661  0.8462
Tl  0.5000  0.1380  0.2569


(2)
For NpSiS3, a cell relaxed with GGA-PBE gives the computed powder X-ray diffraction pattern in this record (Cu Kα, 1.54184 Å).
Kinematic intensities with the Lorentz-polarization factor, no thermal factor.

Principal peaks in the range 10° ≤ 2θ ≤ 90°, by angle:
- 16.39 deg, I = 100.0
- 20.75 deg, I = 40.9
- 21.54 deg, I = 17.2
- 25.54 deg, I = 21.8
- 27.19 deg, I = 84.7
- 33.65 deg, I = 38.8
- 33.94 deg, I = 24.3
- 39.86 deg, I = 37.2
- 40.56 deg, I = 18.3
- 46.05 deg, I = 20.2

Structure:
a b c (Å): 6.9751 8.5613 8.2512
angles (deg): 90.00 90.00 90.00
Space group Ima2 (No. 46)
Asymmetric unit:
Np  0.2500  0.2232  0.0000
Si  0.2500  0.5917  0.2742
S  0.0026  0.7342  0.7571
S  0.2500  0.5195  0.0236


(3)
For Zr3Be2Pd5, a cell relaxed with GGA-PBE gives the computed powder X-ray diffraction pattern in this record (Cu Kα, 1.54184 Å).
Kinematic intensities with the Lorentz-polarization factor, no thermal factor.

Principal peaks in the range 10° ≤ 2θ ≤ 90°, by angle:
- 25.05 deg, I = 16.3
- 32.91 deg, I = 64.1
- 36.89 deg, I = 35.0
- 39.25 deg, I = 61.6
- 39.36 deg, I = 100.0
- 42.73 deg, I = 31.4
- 42.83 deg, I = 32.3
- 51.42 deg, I = 24.9
- 66.54 deg, I = 25.0
- 75.97 deg, I = 20.7

Structure:
a b c (Å): 9.4645 9.4645 3.5543
angles (deg): 90.00 90.00 90.00
Space group P4/mbm (No. 127)
Asymmetric unit:
Zr  0.0000  0.0000  0.0000
Zr  0.1758  0.3242  0.0000
Be  0.1185  0.6185  0.0000
Pd  0.0000  0.5000  0.5000
Pd  0.0693  0.7851  0.5000


(4)
For Pm4Tm5Tl2, a cell relaxed with GGA-PBE gives the computed powder X-ray diffraction pattern in this record (Cu Kα, 1.54184 Å).
Kinematic intensities with the Lorentz-polarization factor, no thermal factor.

Principal peaks in the range 10° ≤ 2θ ≤ 90°, by angle:
- 31.30 deg, I = 86.1
- 32.80 deg, I = 44.8
- 34.52 deg, I = 100.0
- 47.28 deg, I = 27.6
- 48.36 deg, I = 15.2
- 59.85 deg, I = 27.5
- 60.76 deg, I = 15.4
- 61.86 deg, I = 18.7
- 63.30 deg, I = 30.7
- 84.42 deg, I = 14.0

Structure:
a b c (Å): 5.1960 5.1960 48.1015
angles (deg): 90.00 90.00 120.00
Space group R-3m (No. 166, hexagonal axes)
Asymmetric unit:
Pm  0.0000  0.0000  0.0730
Pm  0.0000  0.0000  0.2230
Tm  0.0000  0.0000  0.0000
Tm  0.0000  0.0000  0.1486
Tm  0.0000  0.0000  0.3004
Tl  0.0000  0.0000  0.3725


(5)
For Ac5Ga3, a cell relaxed with GGA-PBE gives the computed powder X-ray diffraction pattern in this record (Cu Kα, 1.54184 Å).
Kinematic intensities with the Lorentz-polarization factor, no thermal factor.

Principal peaks in the range 10° ≤ 2θ ≤ 90°, by angle:
- 24.25 deg, I = 12.9
- 24.73 deg, I = 31.8
- 29.42 deg, I = 100.0
- 30.59 deg, I = 14.3
- 31.16 deg, I = 40.4
- 34.30 deg, I = 40.1
- 45.61 deg, I = 14.9
- 46.83 deg, I = 17.8
- 48.52 deg, I = 19.5
- 52.25 deg, I = 16.9

Structure:
a b c (Å): 8.2673 8.2673 15.9523
angles (deg): 90.00 90.00 90.00
Space group P4/ncc (No. 130, origin choice 2)
Asymmetric unit:
Ac  0.0628  0.5924  0.1039
Ac  0.2500  0.2500  0.2186
Ga  0.1343  0.6343  0.7500
Ga  0.2500  0.2500  0.0115


(6)
For Sr2Pm2Sn7, a cell relaxed with GGA-PBE gives the computed powder X-ray diffraction pattern in this record (Cu Kα, 1.54184 Å).
Kinematic intensities with the Lorentz-polarization factor, no thermal factor.

Principal peaks in the range 10° ≤ 2θ ≤ 90°, by angle:
- 22.34 deg, I = 64.9
- 24.37 deg, I = 34.9
- 28.08 deg, I = 26.5
- 31.42 deg, I = 24.7
- 31.96 deg, I = 62.5
- 35.36 deg, I = 100.0
- 36.24 deg, I = 37.0
- 37.33 deg, I = 33.2
- 39.13 deg, I = 26.5
- 49.94 deg, I = 25.0

Structure:
a b c (Å): 9.6359 11.2023 7.0590
angles (deg): 90.00 90.00 90.00
Space group Cmmm (No. 65)
Asymmetric unit:
Sr  0.1788  0.0000  0.0000
Pm  0.0000  0.2813  0.5000
Sn  0.0000  0.0000  0.5000
Sn  0.0000  0.5000  0.2020
Sn  0.2500  0.2500  0.2124


(7)
For Y5Sc4, a cell relaxed with GGA-PBE gives the computed powder X-ray diffraction pattern in this record (Cu Kα, 1.54184 Å).
Kinematic intensities with the Lorentz-polarization factor, no thermal factor.

Principal peaks in the range 10° ≤ 2θ ≤ 90°, by angle:
- 23.05 deg, I = 16.9
- 31.96 deg, I = 15.5
- 32.64 deg, I = 100.0
- 33.01 deg, I = 94.7
- 47.10 deg, I = 31.7
- 58.72 deg, I = 27.2
- 58.96 deg, I = 12.4
- 65.02 deg, I = 24.2
- 78.68 deg, I = 10.4
- 84.30 deg, I = 8.5

Structure:
a b c (Å): 9.3994 9.3994 6.7593
angles (deg): 90.00 90.00 120.00
Space group P6_3/mcm (No. 193)
Asymmetric unit:
Y  0.0000  0.3001  0.2500
Y  0.3333  0.6667  0.0000
Sc  0.0000  0.0000  0.0000
Sc  0.0000  0.3571  0.7500


Number 7 is which compound? Y5Sc4


What did the fourth record say?
For Pm4Tm5Tl2, a cell relaxed with GGA-PBE gives the computed powder X-ray diffraction pattern in this record (Cu Kα, 1.54184 Å).
Kinematic intensities with the Lorentz-polarization factor, no thermal factor.

Principal peaks in the range 10° ≤ 2θ ≤ 90°, by angle:
- 31.30 deg, I = 86.1
- 32.80 deg, I = 44.8
- 34.52 deg, I = 100.0
- 47.28 deg, I = 27.6
- 48.36 deg, I = 15.2
- 59.85 deg, I = 27.5
- 60.76 deg, I = 15.4
- 61.86 deg, I = 18.7
- 63.30 deg, I = 30.7
- 84.42 deg, I = 14.0

Structure:
a b c (Å): 5.1960 5.1960 48.1015
angles (deg): 90.00 90.00 120.00
Space group R-3m (No. 166, hexagonal axes)
Asymmetric unit:
Pm  0.0000  0.0000  0.0730
Pm  0.0000  0.0000  0.2230
Tm  0.0000  0.0000  0.0000
Tm  0.0000  0.0000  0.1486
Tm  0.0000  0.0000  0.3004
Tl  0.0000  0.0000  0.3725